Record 1
For LiCrPHO5, a cell relaxed with GGA+U gives the calculated XRD peak list in this record (copper Kα).
Intensities are scaled so that the largest is 100.

Main lines, sorted by position (2θ = 10–90°):
17.69°, intensity 38, (0 1 0); 18.57°, intensity 35, (1 0 -1); 18.81°, intensity 47, (1 0 0); 25.79°, intensity 32, (-1 1 1); 26.77°, intensity 98, (1 0 -2); 26.97°, intensity 100, (0 1 -2); 29.08°, intensity 86, (1 1 0); 36.09°, intensity 37, (1 -2 0)

Atomic structure:
Unit cell a=5.150 b=5.404 c=7.326 alpha=106.56 beta=108.78 gamma=97.88
Space group P-1 (No. 2)
Asymmetric unit:
Li (0.245, 0.396, 0.322) (multiplicity 2)
Cr (0.500, 0.000, 0.000) (multiplicity 1)
Cr (0.500, 0.000, 0.500) (multiplicity 1)
P (0.176, 0.359, 0.733) (multiplicity 2)
H (0.144, 0.936, 0.158) (multiplicity 2)
O (0.132, 0.751, 0.429) (multiplicity 2)
O (0.193, 0.657, 0.841) (multiplicity 2)
O (0.226, 0.205, 0.884) (multiplicity 2)
O (0.341, 0.049, 0.225) (multiplicity 2)
O (0.387, 0.338, 0.620) (multiplicity 2)

***

Record 2
For LiMnP3O9, a cell relaxed with GGA+U gives the calculated XRD peak list in this record (copper Kα).
Intensities are scaled so that the largest is 100.

Main lines, sorted by position (2θ = 10–90°):
15.79°, intensity 49, (1 0 0); 18.02°, intensity 26, (0 0 2); 24.04°, intensity 100, (1 0 2); 29.00°, intensity 62, (1 1 1); 33.09°, intensity 54, (1 1 2); 42.61°, intensity 16, (2 1 0); 48.65°, intensity 23, (3 0 0); 49.24°, intensity 21, (2 0 4)

Atomic structure:
Unit cell a=6.4827 b=6.4827 c=9.8448 alpha=90.00 beta=90.00 gamma=120.00
Space group P-6c2 (No. 188)
Asymmetric unit:
Li (0.0000, 0.0000, 0.0000) (multiplicity 2)
Mn (0.6667, 0.3333, 0.0000) (multiplicity 2)
P (0.0605, 0.4105, 0.2500) (multiplicity 6)
O (0.1178, 0.4362, 0.7500) (multiplicity 6)
O (0.3554, 0.0604, 0.1182) (multiplicity 12)